(1)
Diffraction record for Li4Ti3Fe2Co3O16. The powder XRD pattern is theoretical, not measured: it uses a cell relaxed with GGA+U and copper Kα.
No peak broadening, texture or thermal motion is included.

Main lines, low angle first (15° ≤ 2θ ≤ 90°):
(hkl)	2theta	Rel. int.
0 0 2	18.62	98
0 1 1	19.96	100
1 1 1	20.13	53
0 1 -2	25.75	34
1 0 -3	33.35	29
-1 1 2	36.12	36
2 1 -2	36.47	44
2 0 2	40.60	30
2 0 -3	46.07	43
2 0 5	61.04	37

Structure:
Cell lengths 5.753, 5.776, 9.531 Å; angles 89.77, 89.86, 60.76 degrees
Space group P1 (No. 1)
One atom of each set of equivalent atoms:
Li  0.000  0.000  0.000 x1
Li  0.002  0.008  0.503 x1
Li  0.324  0.326  0.608 x1
Li  0.655  0.661  0.102 x1
Ti  0.158  0.657  0.282 x1
Ti  0.651  0.164  0.283 x1
Ti  0.819  0.825  0.780 x1
Fe  0.321  0.336  0.004 x1
Fe  0.652  0.662  0.508 x1
Co  0.163  0.170  0.285 x1
Co  0.331  0.827  0.785 x1
Co  0.823  0.335  0.786 x1
O  0.026  0.477  0.160 x1
O  0.147  0.165  0.888 x1
O  0.152  0.674  0.897 x1
O  0.317  0.836  0.395 x1
O  0.327  0.334  0.398 x1
O  0.472  0.032  0.159 x1
O  0.474  0.479  0.163 x1
O  0.509  0.960  0.660 x1
O  0.514  0.512  0.672 x1
O  0.656  0.660  0.894 x1
O  0.670  0.164  0.895 x1
O  0.828  0.834  0.399 x1
O  0.829  0.323  0.395 x1
O  0.955  0.507  0.663 x1
O  0.995  0.002  0.689 x1
O  0.996  0.001  0.187 x1

(2)
Diffraction record for Li4Ti2Fe3Co3O16. The powder XRD pattern is theoretical, not measured: it uses a cell relaxed with GGA+U and copper Kα.
No peak broadening, texture or thermal motion is included.

Main lines, low angle first (15° ≤ 2θ ≤ 90°):
(hkl)	2theta	Rel. int.
0 0 2	18.63	100
2 0 -1	19.66	63
1 1 1	19.84	37
2 2 -1	36.40	40
2 2 1	36.59	26
4 0 -2	39.92	29
2 2 -3	45.40	29
2 2 3	45.89	29
2 2 5	61.02	21
6 2 0	63.35	34

Structure:
Cell lengths 10.161, 5.893, 9.527 Å; angles 90.00, 91.18, 90.00 degrees
Space group Cm (No. 8)
One atom of each set of equivalent atoms:
Li  0.000  0.000  0.000 x2
Li  0.001  0.000  0.501 x2
Li  0.174  0.500  0.597 x2
Li  0.343  0.000  0.098 x2
Ti  0.170  0.500  0.999 x2
Ti  0.338  0.000  0.498 x2
Fe  0.091  0.253  0.279 x4
Fe  0.175  0.000  0.782 x2
Co  0.333  0.500  0.280 x2
Co  0.416  0.247  0.777 x4
O  0.000  0.000  0.691 x2
O  0.027  0.500  0.147 x2
O  0.089  0.247  0.901 x4
O  0.171  0.000  0.403 x2
O  0.178  0.500  0.388 x2
O  0.254  0.283  0.159 x4
O  0.267  0.223  0.651 x4
O  0.335  0.500  0.897 x2
O  0.344  0.000  0.888 x2
O  0.414  0.258  0.394 x4
O  0.485  0.000  0.649 x2
O  0.497  0.500  0.188 x2